Record 1
This entry pairs a crystal structure of PrN with its calculated XRD peak list. Radiation: a wavelength of 1.5418 Å. Structure: DFT lattice parameters and positions (GGA-PBE).
Kinematic intensities with the Lorentz-polarization factor, no thermal factor.

Main lines, by intensity (15° ≤ 2θ ≤ 90°):
2θ 29.64, d = 3.014 Å, rel. 100; 2θ 34.35, d = 2.611 Å, rel. 76; 2θ 49.37, d = 1.846 Å, rel. 53; 2θ 58.64, d = 1.574 Å, rel. 46; 2θ 82.65, d = 1.167 Å, rel. 23; 2θ 80.12, d = 1.198 Å, rel. 19; 2θ 61.53, d = 1.507 Å, rel. 18; 2θ 72.40, d = 1.305 Å, rel. 8

Structure:
Lattice parameters (Å, degrees): 3.692 3.692 3.692 60.00 60.00 60.00
Fractional positions:
Pr (0.000, 0.000, 0.000)
N (0.500, 0.500, 0.500)


Record 2
This entry pairs a crystal structure of Ag2S with its calculated XRD peak list. Radiation: a wavelength of 1.5418 Å. Structure: DFT lattice parameters and positions (GGA-PBE).
Kinematic intensities with the Lorentz-polarization factor, no thermal factor.

Main lines, by intensity (15° ≤ 2θ ≤ 90°):
2θ 28.86, d = 3.093 Å, rel. 100; 2θ 35.02, d = 2.562 Å, rel. 94; 2θ 31.12, d = 2.874 Å, rel. 90; 2θ 34.92, d = 2.569 Å, rel. 75; 2θ 42.78, d = 2.114 Å, rel. 51; 2θ 40.52, d = 2.226 Å, rel. 41; 2θ 40.10, d = 2.249 Å, rel. 34; 2θ 27.58, d = 3.235 Å, rel. 33; 2θ 41.00, d = 2.201 Å, rel. 31; 2θ 48.06, d = 1.893 Å, rel. 29; 2θ 55.29, d = 1.662 Å, rel. 26; 2θ 24.39, d = 3.650 Å, rel. 26

Structure:
Lattice parameters (Å, degrees): 4.457 6.266 6.187 90.00 133.47 90.00
Fractional positions:
Ag (0.000, 0.066, 0.000)
Ag (0.000, 0.934, 0.500)
Ag (0.280, 0.401, 0.683)
Ag (0.280, 0.599, 0.183)
S (0.599, 0.252, 0.485)
S (0.599, 0.748, 0.985)


Record 3
This entry pairs a crystal structure of NaBiSe2 with its calculated XRD peak list. Radiation: a wavelength of 1.5418 Å. Structure: DFT lattice parameters and positions (GGA-PBE).
Kinematic intensities with the Lorentz-polarization factor, no thermal factor.

Main lines, by intensity (15° ≤ 2θ ≤ 90°):
2θ 29.59, d = 3.019 Å, rel. 100; 2θ 41.94, d = 2.154 Å, rel. 39; 2θ 42.74, d = 2.115 Å, rel. 37; 2θ 24.65, d = 3.611 Å, rel. 32; 2θ 52.85, d = 1.732 Å, rel. 20; 2θ 69.07, d = 1.360 Å, rel. 17; 2θ 70.23, d = 1.340 Å, rel. 17; 2θ 44.70, d = 2.027 Å, rel. 16; 2θ 32.22, d = 2.778 Å, rel. 14; 2θ 38.45, d = 2.341 Å, rel. 14; 2θ 77.73, d = 1.229 Å, rel. 13; 2θ 61.43, d = 1.509 Å, rel. 13

Structure:
Lattice parameters (Å, degrees): 7.509 7.509 7.509 32.72 32.72 32.72
Fractional positions:
Na (0.000, 0.000, 0.000)
Bi (0.500, 0.500, 0.500)
Se (0.247, 0.247, 0.247)
Se (0.753, 0.753, 0.753)


Record 4
This entry pairs a crystal structure of Sr2H4Pd with its calculated XRD peak list. Radiation: a wavelength of 1.5418 Å. Structure: DFT lattice parameters and positions (GGA-PBE).
Kinematic intensities with the Lorentz-polarization factor, no thermal factor.

Main lines, by intensity (15° ≤ 2θ ≤ 90°):
2θ 29.86, d = 2.992 Å, rel. 100; 2θ 27.05, d = 3.297 Å, rel. 70; 2θ 31.96, d = 2.800 Å, rel. 69; 2θ 32.44, d = 2.760 Å, rel. 68; 2θ 39.90, d = 2.259 Å, rel. 42; 2θ 40.03, d = 2.252 Å, rel. 28; 2θ 29.69, d = 3.009 Å, rel. 25; 2θ 54.67, d = 1.679 Å, rel. 21; 2θ 49.58, d = 1.839 Å, rel. 20; 2θ 63.81, d = 1.459 Å, rel. 19; 2θ 28.39, d = 3.144 Å, rel. 18; 2θ 71.81, d = 1.315 Å, rel. 17

Structure:
Lattice parameters (Å, degrees): 7.650 5.521 9.746 90.00 90.00 90.00
Fractional positions:
Sr (0.009, 0.250, 0.169)
Sr (0.150, 0.750, 0.408)
Sr (0.350, 0.250, 0.908)
Sr (0.491, 0.750, 0.669)
Sr (0.509, 0.250, 0.331)
Sr (0.650, 0.750, 0.092)
Sr (0.850, 0.250, 0.592)
Sr (0.991, 0.750, 0.831)
H (0.008, 0.750, 0.101)
H (0.175, 0.250, 0.411)
H (0.176, 0.515, 0.660)
H (0.176, 0.985, 0.660)
H (0.324, 0.015, 0.160)
H (0.324, 0.485, 0.160)
H (0.325, 0.750, 0.911)
H (0.492, 0.250, 0.601)
H (0.508, 0.750, 0.399)
H (0.675, 0.250, 0.089)
H (0.676, 0.515, 0.840)
H (0.676, 0.985, 0.840)
H (0.824, 0.015, 0.340)
H (0.824, 0.485, 0.340)
H (0.825, 0.750, 0.589)
H (0.992, 0.250, 0.899)
Pd (0.239, 0.750, 0.084)
Pd (0.261, 0.250, 0.584)
Pd (0.739, 0.750, 0.416)
Pd (0.761, 0.250, 0.916)